Structure and calculated X-ray powder pattern of Pm6Sm3Ho2Tl (the PBE geometry in Alexandria; CuKα).
No peak broadening, texture or thermal motion is included.

Atomic structure:
a = 6.2258 Å, b = 10.8218 Å, c = 11.8193 Å
α = 90.00°, β = 100.34°, γ = 90.00°
Space group C2/m (No. 12)
Inequivalent atoms, fractional coordinates:
Pm1 0.2441 0.1638 0.2445 [8 per cell]
Pm2 0.2465 0.0000 0.7532 [4 per cell]
Sm1 0.0000 0.1683 0.5000 [4 per cell]
Sm2 0.0000 0.5000 0.5000 [2 per cell]
Ho1 0.0000 0.3341 0.0000 [4 per cell]
Tl1 0.0000 0.0000 0.0000 [2 per cell]

Main lines, in order of rising 2θ (10° ≤ 2θ ≤ 90°):
- 2θ 30.4, I = 100, (1 3 1)
- 2θ 30.8, I = 32, (0 0 4)
- 2θ 35.3, I = 45, (1 3 -3)
- 2θ 35.5, I = 22, (2 0 2)
- 2θ 50.6, I = 8, (0 6 0)
- 2θ 50.8, I = 16, (3 3 -1)
- 2θ 51.2, I = 16, (1 3 5)
- 2θ 60.2, I = 10, (2 6 -2)
- 2θ 60.4, I = 24, (4 0 0)
- 2θ 60.6, I = 9, (3 3 3)
- 2θ 60.8, I = 9, (1 3 -7)
- 2θ 63.3, I = 12, (4 0 -4)

***

Structure and calculated X-ray powder pattern of PmSmHoTm (the PBE geometry in Alexandria; CuKα).
No peak broadening, texture or thermal motion is included.

Atomic structure:
a = 12.4154 Å, b = 5.8463 Å, c = 3.7533 Å
α = 90.00°, β = 107.16°, γ = 90.00°
Space group Cm (No. 8)
Inequivalent atoms, fractional coordinates:
Pm1 0.0000 0.0000 0.0000 [2 per cell]
Sm1 0.2672 0.0000 0.8052 [2 per cell]
Ho1 0.0183 0.5000 0.5286 [2 per cell]
Tm1 0.2550 0.5000 0.2797 [2 per cell]

Main lines, in order of rising 2θ (10° ≤ 2θ ≤ 90°):
- 2θ 30.1, I = 58, (4 0 0)
- 2θ 30.6, I = 58, (0 2 0)
- 2θ 32.0, I = 100, (1 1 1)
- 2θ 32.2, I = 100, (3 1 -1)
- 2θ 43.5, I = 43, (4 2 0)
- 2θ 48.5, I = 16, (2 0 -2)
- 2θ 54.6, I = 20, (5 1 1)
- 2θ 54.9, I = 21, (7 1 -1)
- 2θ 55.3, I = 21, (1 3 1)
- 2θ 55.4, I = 22, (3 3 -1)
- 2θ 58.4, I = 27, (2 2 -2)
- 2θ 89.3, I = 12, (3 5 -1)

***

Structure and calculated X-ray powder pattern of PmSm2HoTm4 (the PBE geometry in Alexandria; CuKα).
No peak broadening, texture or thermal motion is included.

Atomic structure:
a = 13.5489 Å, b = 13.2309 Å, c = 6.7726 Å
α = 90.00°, β = 119.99°, γ = 90.00°
Space group C2/c (No. 15)
Inequivalent atoms, fractional coordinates:
Pm1 0.2500 0.2500 0.0000 [4 per cell]
Sm1 0.0000 0.0000 0.0000 [4 per cell]
Sm2 0.2500 0.2500 0.5000 [4 per cell]
Ho1 0.0000 0.5000 0.0000 [4 per cell]
Tm1 0.9998 0.2525 0.9998 [8 per cell]
Tm2 0.2474 0.5000 0.4961 [8 per cell]

Main lines, in order of rising 2θ (10° ≤ 2θ ≤ 90°):
- 2θ 27.0, I = 46, (0 4 0)
- 2θ 30.5, I = 100, (4 0 0)
- 2θ 41.1, I = 89, (4 4 0)
- 2θ 54.2, I = 20, (8 0 -2)
- 2θ 55.6, I = 6, (0 8 0)
- 2θ 61.5, I = 27, (8 4 -2)
- 2θ 63.4, I = 12, (8 0 -4)
- 2θ 64.7, I = 23, (4 8 0)
- 2θ 70.2, I = 18, (8 4 -4)
- 2θ 81.3, I = 12, (8 8 -2)
- 2θ 88.1, I = 10, (8 0 -6)
- 2θ 89.3, I = 10, (8 8 -4)

***

Structure and calculated X-ray powder pattern of PmSm2Ho4Tm (the PBE geometry in Alexandria; CuKα).
No peak broadening, texture or thermal motion is included.

Atomic structure:
a = 13.5944 Å, b = 13.2484 Å, c = 6.7935 Å
α = 90.00°, β = 119.97°, γ = 90.00°
Space group C2/c (No. 15)
Inequivalent atoms, fractional coordinates:
Pm1 0.2500 0.2500 0.0000 [4 per cell]
Sm1 0.0000 0.0000 0.0000 [4 per cell]
Sm2 0.2500 0.2500 0.5000 [4 per cell]
Ho1 0.0000 0.2542 0.0000 [8 per cell]
Ho2 0.2461 0.4999 0.4947 [8 per cell]
Tm1 0.0000 0.5000 0.0000 [4 per cell]

Main lines, in order of rising 2θ (10° ≤ 2θ ≤ 90°):
- 2θ 26.9, I = 45, (0 4 0)
- 2θ 30.4, I = 100, (0 0 2)
- 2θ 41.0, I = 89, (0 4 2)
- 2θ 54.0, I = 20, (4 0 -4)
- 2θ 55.5, I = 6, (0 8 0)
- 2θ 61.3, I = 27, (4 4 -4)
- 2θ 63.2, I = 12, (8 0 -4)
- 2θ 64.6, I = 23, (0 8 2)
- 2θ 70.0, I = 12, (8 4 -4)
- 2θ 81.1, I = 12, (4 8 -4)
- 2θ 87.7, I = 10, (8 0 -6)
- 2θ 89.0, I = 10, (8 8 -4)

***

Structure and calculated X-ray powder pattern of Pm2Sm2YHo (the PBE geometry in Alexandria; CuKα).
No peak broadening, texture or thermal motion is included.

Atomic structure:
a = 7.0819 Å, b = 5.6894 Å, c = 9.8606 Å
α = 90.00°, β = 90.00°, γ = 90.00°
Space group Pmma (No. 51)
Inequivalent atoms, fractional coordinates:
Pm1 0.2500 0.0000 0.1599 [2 per cell]
Pm2 0.2500 0.5000 0.6719 [2 per cell]
Sm1 0.0000 0.5000 0.0000 [2 per cell]
Sm2 0.2500 0.0000 0.8236 [2 per cell]
Y1 0.0000 0.0000 0.5000 [2 per cell]
Ho1 0.2500 0.5000 0.3406 [2 per cell]

Main lines, in order of rising 2θ (10° ≤ 2θ ≤ 90°):
- 2θ 25.1, I = 11, (2 0 0)
- 2θ 31.1, I = 85, (2 1 1)
- 2θ 31.4, I = 100, (0 2 0)
- 2θ 40.7, I = 18, (2 2 0)
- 2θ 44.8, I = 31, (2 2 2)
- 2θ 55.8, I = 32, (2 3 1)
- 2θ 56.0, I = 19, (0 3 3)
- 2θ 61.7, I = 29, (4 2 0)
- 2θ 65.6, I = 12, (0 4 0)
- 2θ 74.4, I = 13, (2 4 2)
- 2θ 79.6, I = 14, (4 3 3)
- 2θ 88.1, I = 11, (4 4 0)

***

Structure and calculated X-ray powder pattern of PmSmY5Ho2 (the PBE geometry in Alexandria; CuKα).
No peak broadening, texture or thermal motion is included.

Atomic structure:
a = 5.6451 Å, b = 20.0699 Å, c = 10.5387 Å
α = 90.00°, β = 90.00°, γ = 90.00°
Space group Cmc2_1 (No. 36)
Inequivalent atoms, fractional coordinates:
Pm1 0.0000 0.0846 0.0000 [4 per cell]
Sm1 0.0000 0.3023 0.5660 [4 per cell]
Y1 0.0000 0.0222 0.2882 [4 per cell]
Y2 0.0000 0.1131 0.5763 [4 per cell]
Y3 0.0000 0.2009 0.2590 [4 per cell]
Y4 0.0000 0.2209 0.8692 [4 per cell]
Y5 0.0000 0.4831 0.5755 [4 per cell]
Ho1 0.0000 0.3870 0.8719 [4 per cell]
Ho2 0.0000 0.3889 0.2869 [4 per cell]

Main lines, in order of rising 2θ (10° ≤ 2θ ≤ 90°):
- 2θ 28.0, I = 18, (0 6 1)
- 2θ 30.3, I = 42, (1 1 3)
- 2θ 31.7, I = 45, (2 0 0)
- 2θ 32.2, I = 100, (1 5 2)
- 2θ 32.9, I = 10, (1 3 3)
- 2θ 34.0, I = 11, (0 0 4)
- 2θ 36.2, I = 8, (1 7 1)
- 2θ 42.8, I = 11, (2 6 1)
- 2θ 51.2, I = 12, (0 6 5)
- 2θ 56.8, I = 20, (3 5 2)
- 2θ 59.4, I = 15, (1 11 3)
- 2θ 61.5, I = 13, (2 6 5)

***

Structure and calculated X-ray powder pattern of Pm12Ho5Sn2 (the PBE geometry in Alexandria; CuKα).
No peak broadening, texture or thermal motion is included.

Atomic structure:
a = 15.3154 Å, b = 9.5640 Å, c = 8.5329 Å
α = 90.00°, β = 93.07°, γ = 90.00°
Space group C2/m (No. 12)
Inequivalent atoms, fractional coordinates:
Pm1 0.0517 0.0000 0.3096 [4 per cell]
Pm2 0.0815 0.5000 0.8824 [4 per cell]
Pm3 0.1214 0.1964 0.6521 [8 per cell]
Pm4 0.1515 0.3161 0.2309 [8 per cell]
Ho1 0.0000 0.5000 0.5000 [2 per cell]
Ho2 0.1784 0.0000 0.9999 [4 per cell]
Ho3 0.2348 0.5000 0.5883 [4 per cell]
Sn1 0.0000 0.1934 0.0000 [4 per cell]

Main lines, in order of rising 2θ (10° ≤ 2θ ≤ 90°):
- 2θ 29.6, I = 48, (3 1 2)
- 2θ 30.0, I = 100, (2 2 -2)
- 2θ 30.4, I = 43, (1 3 -1)
- 2θ 30.6, I = 35, (1 3 1)
- 2θ 32.0, I = 87, (5 1 -1)
- 2θ 32.2, I = 58, (4 2 1)
- 2θ 32.3, I = 36, (4 0 2)
- 2θ 33.1, I = 69, (1 1 -3)
- 2θ 35.1, I = 50, (3 3 1)
- 2θ 35.5, I = 25, (1 3 -2)
- 2θ 55.7, I = 27, (3 3 4)
- 2θ 57.5, I = 35, (5 5 -1)

***

Structure and calculated X-ray powder pattern of PmHo2Sn2 (the PBE geometry in Alexandria; CuKα).
No peak broadening, texture or thermal motion is included.

Atomic structure:
a = 4.8701 Å, b = 18.6558 Å, c = 6.5253 Å
α = 90.00°, β = 90.00°, γ = 90.00°
Space group Cmc2_1 (No. 36)
Inequivalent atoms, fractional coordinates:
Pm1 0.0000 0.1093 0.0000 [4 per cell]
Ho1 0.0000 0.3148 0.0279 [4 per cell]
Ho2 0.0000 0.4941 0.7558 [4 per cell]
Sn1 0.0000 0.0725 0.5070 [4 per cell]
Sn2 0.0000 0.2943 0.5367 [4 per cell]

Main lines, in order of rising 2θ (10° ≤ 2θ ≤ 90°):
- 2θ 27.3, I = 23, (0 0 2)
- 2θ 29.0, I = 20, (0 2 2)
- 2θ 30.2, I = 100, (1 5 0)
- 2θ 33.2, I = 20, (1 5 1)
- 2θ 33.4, I = 32, (1 1 2)
- 2θ 33.5, I = 15, (0 4 2)
- 2θ 36.1, I = 38, (1 3 2)
- 2θ 36.9, I = 36, (2 0 0)
- 2θ 41.2, I = 21, (1 5 2)
- 2θ 47.9, I = 16, (0 8 2)
- 2θ 62.4, I = 13, (3 5 0)
- 2θ 65.3, I = 20, (1 5 4)

***

Structure and calculated X-ray powder pattern of PmHo2Sn9 (the PBE geometry in Alexandria; CuKα).
No peak broadening, texture or thermal motion is included.

Atomic structure:
a = 4.7984 Å, b = 4.7984 Å, c = 13.7464 Å
α = 90.00°, β = 90.00°, γ = 90.00°
Space group P4/mmm (No. 123)
Inequivalent atoms, fractional coordinates:
Pm1 0.0000 0.0000 0.0000 [1 per cell]
Ho1 0.0000 0.0000 0.3343 [2 per cell]
Sn1 0.0000 0.5000 0.1701 [4 per cell]
Sn2 0.0000 0.5000 0.5000 [2 per cell]
Sn3 0.5000 0.5000 0.0000 [1 per cell]
Sn4 0.5000 0.5000 0.3351 [2 per cell]

Main lines, in order of rising 2θ (10° ≤ 2θ ≤ 90°):
- 2θ 18.5, I = 1, (1 0 0)
- 2θ 32.8, I = 100, (1 1 3)
- 2θ 37.5, I = 35, (2 0 0)
- 2θ 39.3, I = 15, (0 0 6)
- 2θ 54.1, I = 12, (2 2 0)
- 2θ 55.5, I = 23, (2 0 6)
- 2θ 64.7, I = 29, (3 1 3)
- 2θ 67.2, I = 13, (1 1 9)
- 2θ 68.9, I = 12, (2 2 6)
- 2θ 80.0, I = 4, (4 0 0)
- 2θ 84.6, I = 2, (0 0 12)
- 2θ 89.2, I = 7, (3 3 3)

***

Structure and calculated X-ray powder pattern of Pm5HoSn8 (the PBE geometry in Alexandria; CuKα).
No peak broadening, texture or thermal motion is included.

Atomic structure:
a = 9.6786 Å, b = 9.6786 Å, c = 8.8162 Å
α = 90.00°, β = 90.00°, γ = 90.00°
Space group I-4 (No. 82)
Inequivalent atoms, fractional coordinates:
Pm1 0.0000 0.0000 0.0000 [2 per cell]
Pm2 0.1124 0.7489 0.3727 [8 per cell]
Ho1 0.0000 0.5000 0.7500 [2 per cell]
Sn1 0.0817 0.8194 0.7179 [8 per cell]
Sn2 0.0827 0.6755 0.0274 [8 per cell]

Main lines, in order of rising 2θ (10° ≤ 2θ ≤ 90°):
- 2θ 22.9, I = 21, (2 1 1)
- 2θ 29.2, I = 100, (1 3 0)
- 2θ 29.5, I = 67, (3 0 1)
- 2θ 31.8, I = 60, (1 0 3)
- 2θ 34.9, I = 55, (2 3 1)
- 2θ 35.7, I = 66, (1 3 2)
- 2θ 37.0, I = 71, (1 2 3)
- 2θ 41.7, I = 23, (2 4 0)
- 2θ 46.8, I = 33, (4 2 2)
- 2θ 59.0, I = 27, (1 6 1)
- 2θ 62.3, I = 19, (5 4 1)
- 2θ 64.9, I = 19, (1 1 6)

***

Structure and calculated X-ray powder pattern of PmHo4Sn (the PBE geometry in Alexandria; CuKα).
No peak broadening, texture or thermal motion is included.

Atomic structure:
a = 4.7615 Å, b = 14.7692 Å, c = 10.0437 Å
α = 90.00°, β = 90.00°, γ = 90.00°
Space group Cmc2_1 (No. 36)
Inequivalent atoms, fractional coordinates:
Pm1 0.0000 0.1691 0.0000 [4 per cell]
Ho1 0.0000 0.0078 0.7378 [4 per cell]
Ho2 0.0000 0.1664 0.4811 [4 per cell]
Ho3 0.0000 0.3227 0.7389 [4 per cell]
Ho4 0.0000 0.4986 0.9880 [4 per cell]
Sn1 0.0000 0.3357 0.2379 [4 per cell]

Main lines, in order of rising 2θ (10° ≤ 2θ ≤ 90°):
- 2θ 31.6, I = 100, (1 3 2)
- 2θ 35.8, I = 18, (0 0 4)
- 2θ 36.5, I = 17, (0 6 0)
- 2θ 37.8, I = 16, (2 0 0)
- 2θ 52.0, I = 12, (0 6 4)
- 2θ 53.0, I = 12, (2 0 4)
- 2θ 53.6, I = 11, (2 6 0)
- 2θ 61.7, I = 14, (1 3 6)
- 2θ 62.7, I = 13, (1 9 2)
- 2θ 64.4, I = 13, (3 3 2)
- 2θ 66.1, I = 12, (2 6 4)
- 2θ 86.9, I = 6, (3 3 6)

***

Structure and calculated X-ray powder pattern of PmHo5Sn4 (the PBE geometry in Alexandria; CuKα).
No peak broadening, texture or thermal motion is included.

Atomic structure:
a = 17.7809 Å, b = 4.4287 Å, c = 8.0268 Å
α = 90.00°, β = 102.34°, γ = 90.00°
Space group C2/m (No. 12)
Inequivalent atoms, fractional coordinates:
Pm1 0.0000 0.0000 0.0000 [2 per cell]
Ho1 0.0000 0.0000 0.5000 [2 per cell]
Ho2 0.1393 0.5000 0.7231 [4 per cell]
Ho3 0.2061 0.5000 0.3072 [4 per cell]
Sn1 0.0366 0.5000 0.2816 [4 per cell]
Sn2 0.1891 0.0000 0.0116 [4 per cell]

Main lines, in order of rising 2θ (10° ≤ 2θ ≤ 90°):
- 2θ 25.3, I = 25, (3 1 0)
- 2θ 29.1, I = 28, (3 1 1)
- 2θ 30.0, I = 100, (1 1 -2)
- 2θ 30.5, I = 37, (6 0 -1)
- 2θ 30.9, I = 21, (6 0 0)
- 2θ 31.7, I = 38, (1 1 2)
- 2θ 34.3, I = 21, (0 0 3)
- 2θ 36.6, I = 44, (5 1 1)
- 2θ 36.8, I = 51, (5 1 -2)
- 2θ 40.7, I = 45, (0 2 0)
- 2θ 50.3, I = 23, (6 0 -4)
- 2θ 66.7, I = 17, (6 2 -4)